Li3VO2F2: theoretical XRD peak list (Cu Ka), based on a cell relaxed with GGA+U.

Most intense lines, 2θ = 10–80°, in order of rising 2θ:
2theta, d_spacing, intensity
14.90, 5.946, 49
18.30, 4.849, 69
23.69, 3.756, 68
26.15, 3.408, 24
35.43, 2.533, 19
40.20, 2.243, 22
42.98, 2.105, 100
43.52, 2.080, 48
62.82, 1.479, 51
79.19, 1.210, 17

Crystal structure
```
Li3VO2F2
1.0
5.1208 0.0000 0.0000
0.0000 5.9458 0.0000
-1.6444 0.0000 4.8400
Li V O F
6 2 4 4
Direct
0.0000 0.1121 0.2500
0.0000 0.3564 0.7500
0.0000 0.6436 0.2500
0.0000 0.8879 0.7500
0.5000 0.3662 0.2500
0.5000 0.6338 0.7500
0.5000 0.1101 0.7500
0.5000 0.8899 0.2500
0.2661 0.1222 0.9966
0.2661 0.8778 0.4966
0.7339 0.1222 0.5034
0.7339 0.8778 0.0034
0.2538 0.3754 0.5097
0.2538 0.6246 0.0097
0.7462 0.3754 0.9903
0.7462 0.6246 0.4903
```